For FePtC6N6, a DFT-relaxed cell (GGA-PBE, Alexandria) gives the computed X-ray powder pattern in this record (Cu Ka).
Lines closer than 0.1° are merged.

Cell and atoms:
```
FePtC6N6
1.0
0.0000 5.0787 5.0787
5.0787 0.0000 5.0787
5.0787 5.0787 0.0000
Fe Pt C N
1 1 6 6
Direct
0.0000 0.0000 0.0000
0.5000 0.5000 0.5000
0.3012 0.3012 0.6988
0.3012 0.6988 0.3012
0.3012 0.6988 0.6988
0.6988 0.3012 0.3012
0.6988 0.3012 0.6988
0.6988 0.6988 0.3012
0.1867 0.1867 0.8133
0.1867 0.8133 0.1867
0.1867 0.8133 0.8133
0.8133 0.1867 0.1867
0.8133 0.1867 0.8133
0.8133 0.8133 0.1867
```

Top 10 peaks for 2θ from 5° to 70°, most intense first:
| 2θ/deg | d_spacing | I (rel.) |
| --- | --- | --- |
| 17.46 | 5.079 | 100 |
| 24.79 | 3.591 | 42 |
| 39.68 | 2.271 | 34 |
| 15.11 | 5.864 | 24 |
| 35.35 | 2.539 | 21 |
| 29.16 | 3.063 | 19 |
| 54.18 | 1.693 | 16 |
| 43.66 | 2.073 | 13 |
| 57.37 | 1.606 | 13 |
| 69.22 | 1.357 | 11 |

For Ac6PrSm3, a DFT-relaxed cell (GGA-PBE, Alexandria) gives the computed X-ray powder pattern in this record (Cu Ka).
Lines closer than 0.1° are merged.

Cell and atoms:
```
Ac6PrSm3
1.0
12.8234 0.0000 0.0000
0.0000 3.8322 0.0000
-4.1404 0.0000 16.6195
Ac Pr Sm
12 2 6
Direct
0.1086 0.2500 0.3550
0.1114 0.7500 0.9588
0.1602 0.2500 0.7667
0.3447 0.2500 0.1106
0.3638 0.7500 0.3161
0.3719 0.2500 0.5223
0.6281 0.7500 0.4777
0.6362 0.2500 0.6839
0.6553 0.7500 0.8894
0.8398 0.7500 0.2333
0.8886 0.2500 0.0412
0.8914 0.7500 0.6450
0.1271 0.7500 0.5565
0.8729 0.2500 0.4435
0.1126 0.7500 0.1702
0.3849 0.7500 0.9259
0.3912 0.7500 0.7124
0.6088 0.2500 0.2876
0.6151 0.2500 0.0741
0.8874 0.2500 0.8298
```

Top 10 peaks for 2θ from 5° to 70°, most intense first:
| 2θ/deg | d_spacing | I (rel.) |
| --- | --- | --- |
| 28.70 | 3.111 | 100 |
| 29.44 | 3.034 | 96 |
| 30.12 | 2.967 | 92 |
| 28.29 | 3.155 | 73 |
| 30.68 | 2.914 | 61 |
| 29.97 | 2.982 | 58 |
| 31.81 | 2.814 | 48 |
| 28.08 | 3.177 | 43 |
| 56.40 | 1.632 | 33 |
| 56.83 | 1.620 | 33 |